Simulated powder diffractogram of SrCaP2WO8 for Cu Kα X-rays, from a DFT-relaxed cell (PBE+U, Alexandria).
Lines closer than 0.1° are merged.

Atomic structure:
```
SrCaP2WO8
1.0
6.2137 0.0000 0.0000
-0.4364 6.6043 0.0000
-3.1034 -2.8763 8.5919
Sr Ca P W O
2 2 4 2 16
Cartesian
-0.3152 0.1175 3.6164
2.9891 3.6105 4.9755
0.1320 1.4706 7.0892
2.5419 2.2574 1.5027
-0.2712 3.2058 2.3871
-0.1170 -2.0886 6.7049
2.7909 5.8166 1.8870
2.9451 0.5222 6.2048
0.2920 5.6964 0.1838
2.3819 -1.9685 8.4081
-1.9587 1.0701 5.5946
-0.4685 4.6867 1.9487
0.1297 2.3711 1.1073
-0.4888 -1.6903 5.2917
-1.5041 3.3551 7.1674
0.9757 3.0072 3.2970
1.8349 -0.0318 1.8492
-0.0410 -0.8976 7.7134
2.7149 4.6256 0.8786
0.8390 3.7598 6.7428
1.6982 0.7208 5.2949
4.1780 0.3729 1.4245
3.1627 5.4183 3.3002
2.5442 1.3568 7.4846
3.1424 -0.9588 6.6432
4.6326 2.6579 2.9973
```

Principal peaks in the range 5 to 70 degrees two-theta, sorted by position:
hkl 0 0 1, 2θ 10.30, d = 8.592 Å, I 100
hkl 0 1 0, 2θ 14.14, d = 6.263 Å, I 50
hkl 1 0 0, 2θ 15.30, d = 5.791 Å, I 45
hkl 1 1 -1, 2θ 20.28, d = 4.378 Å, I 41
hkl 1 1 1, 2θ 28.84, d = 3.096 Å, I 78
hkl 1 0 -3, 2θ 29.42, d = 3.036 Å, I 87